Record 1
For Ho2NpS5, the GGA-PBE geometry in Alexandria gives the computed powder X-ray diffraction pattern in this record (Cu Kα, 1.54184 Å).

The 10 most intense peaks (10° ≤ 2θ ≤ 80°), most intense first:
2theta, d_spacing, intensity
39.45, 2.284, 100
26.56, 3.356, 100
20.15, 4.407, 68
33.50, 2.675, 37
36.38, 2.469, 26
50.28, 1.815, 20
41.94, 2.154, 19
63.90, 1.457, 18
54.70, 1.678, 18
55.79, 1.648, 14

Crystal structure
Cell: 8.620 7.877 5.155 Å, 79.85 64.09 36.06°
Atoms (fractional coordinates):
Ho  0.179  0.179  0.821
Ho  0.821  0.821  0.179
Np  0.500  0.500  0.500
S  0.000  0.000  0.000
S  0.180  0.508  0.492
S  0.492  0.820  0.180
S  0.508  0.180  0.820
S  0.820  0.492  0.508

***

Record 2
For HoNp2S6, the GGA-PBE geometry in Alexandria gives the computed powder X-ray diffraction pattern in this record (Cu Kα, 1.54184 Å).

The 10 most intense peaks (10° ≤ 2θ ≤ 80°), most intense first:
2theta, d_spacing, intensity
24.92, 3.573, 100
25.67, 3.470, 80
36.08, 2.489, 63
44.35, 2.042, 57
43.89, 2.063, 40
32.94, 2.719, 32
45.70, 1.985, 25
59.20, 1.561, 20
69.97, 1.345, 19
51.13, 1.786, 17

Crystal structure
Cell: 7.145 7.145 4.192 Å, 90.00 90.00 120.00°
Atoms (fractional coordinates):
Ho  0.000  0.000  0.000
Np  0.333  0.667  0.785
Np  0.667  0.333  0.215
S  0.081  0.698  0.261
S  0.302  0.383  0.261
S  0.383  0.081  0.739
S  0.617  0.919  0.261
S  0.698  0.617  0.739
S  0.919  0.302  0.739

***

Record 3
For Ho4NpS7, the GGA-PBE geometry in Alexandria gives the computed powder X-ray diffraction pattern in this record (Cu Kα, 1.54184 Å).

The 10 most intense peaks (10° ≤ 2θ ≤ 80°), most intense first:
2theta, d_spacing, intensity
24.48, 3.636, 100
23.90, 3.723, 79
33.24, 2.696, 47
27.83, 3.205, 38
26.32, 3.386, 37
31.59, 2.832, 37
34.31, 2.614, 33
39.06, 2.306, 27
43.54, 2.078, 27
42.09, 2.147, 26

Crystal structure
Cell: 6.688 6.688 11.607 Å, 103.99 103.99 33.03°
Atoms (fractional coordinates):
Ho  0.000  0.000  0.000
Ho  0.186  0.186  0.767
Ho  0.583  0.583  0.391
Ho  0.885  0.885  0.580
Np  0.769  0.769  0.156
S  0.142  0.142  0.229
S  0.226  0.226  0.529
S  0.385  0.385  0.075
S  0.544  0.544  0.629
S  0.622  0.622  0.926
S  0.843  0.843  0.794
S  0.927  0.927  0.366

***

Record 4
For HoNpS4, the GGA-PBE geometry in Alexandria gives the computed powder X-ray diffraction pattern in this record (Cu Kα, 1.54184 Å).

The 10 most intense peaks (10° ≤ 2θ ≤ 80°), most intense first:
2theta, d_spacing, intensity
26.12, 3.412, 100
20.02, 4.435, 67
20.35, 4.364, 62
39.01, 2.309, 55
39.37, 2.288, 50
49.30, 1.848, 50
28.70, 3.110, 27
65.78, 1.420, 17
41.38, 2.182, 14
44.41, 2.040, 14

Crystal structure
Cell: 6.221 6.221 4.080 Å, 90.00 90.00 90.93°
Atoms (fractional coordinates):
Ho  0.000  0.000  0.000
Np  0.500  0.500  0.500
S  0.204  0.204  0.500
S  0.312  0.688  0.000
S  0.688  0.312  0.000
S  0.796  0.796  0.500

***

Record 5
For HoNp4S7, the GGA-PBE geometry in Alexandria gives the computed powder X-ray diffraction pattern in this record (Cu Kα, 1.54184 Å).

The 10 most intense peaks (10° ≤ 2θ ≤ 80°), most intense first:
2theta, d_spacing, intensity
23.90, 3.723, 100
24.65, 3.612, 92
27.36, 3.260, 55
34.00, 2.637, 52
32.99, 2.715, 49
47.55, 1.912, 46
26.18, 3.403, 41
42.32, 2.135, 40
28.21, 3.164, 37
31.25, 2.862, 36

Crystal structure
Cell: 6.799 6.799 11.458 Å, 104.06 104.06 32.69°
Atoms (fractional coordinates):
Ho  0.000  0.000  0.000
Np  0.120  0.120  0.424
Np  0.234  0.234  0.850
Np  0.421  0.421  0.610
Np  0.820  0.820  0.243
S  0.080  0.080  0.641
S  0.160  0.160  0.205
S  0.383  0.383  0.077
S  0.463  0.463  0.373
S  0.614  0.614  0.922
S  0.776  0.776  0.478
S  0.855  0.855  0.774

***

Record 6
For Ho2NpS4, the GGA-PBE geometry in Alexandria gives the computed powder X-ray diffraction pattern in this record (Cu Kα, 1.54184 Å).

The 10 most intense peaks (10° ≤ 2θ ≤ 80°), most intense first:
2theta, d_spacing, intensity
24.80, 3.590, 100
32.04, 2.793, 55
34.27, 2.617, 49
27.93, 3.194, 37
42.70, 2.118, 37
27.65, 3.226, 31
25.21, 3.532, 26
54.30, 1.689, 25
47.21, 1.925, 22
37.05, 2.426, 21

Crystal structure
Cell: 12.904 3.829 12.962 Å, 90.00 90.00 90.00°
Atoms (fractional coordinates):
Ho  0.109  0.250  0.080
Ho  0.149  0.250  0.704
Ho  0.351  0.750  0.204
Ho  0.391  0.750  0.580
Ho  0.609  0.250  0.420
Ho  0.649  0.250  0.796
Ho  0.851  0.750  0.296
Ho  0.891  0.750  0.920
Np  0.126  0.750  0.422
Np  0.374  0.250  0.922
Np  0.626  0.750  0.078
Np  0.874  0.250  0.578
S  0.028  0.750  0.618
S  0.033  0.250  0.881
S  0.212  0.250  0.268
S  0.247  0.750  0.022
S  0.253  0.250  0.522
S  0.288  0.750  0.768
S  0.467  0.750  0.381
S  0.472  0.250  0.118
S  0.528  0.750  0.882
S  0.533  0.250  0.619
S  0.712  0.250  0.232
S  0.747  0.750  0.478
S  0.753  0.250  0.978
S  0.788  0.750  0.732
S  0.967  0.750  0.119
S  0.972  0.250  0.382

***

Record 7
For Ho2NpS4, the GGA-PBE geometry in Alexandria gives the computed powder X-ray diffraction pattern in this record (Cu Kα, 1.54184 Å).

The 10 most intense peaks (10° ≤ 2θ ≤ 80°), most intense first:
2theta, d_spacing, intensity
25.90, 3.439, 100
44.97, 2.016, 62
26.01, 3.425, 35
41.11, 2.196, 32
41.28, 2.187, 25
22.05, 4.031, 20
13.48, 6.568, 19
31.45, 2.845, 19
62.50, 1.486, 17
27.05, 3.297, 14

Crystal structure
Cell: 8.060 8.060 8.060 Å, 120.35 119.87 89.80°
Atoms (fractional coordinates):
Ho  0.000  0.000  0.500
Ho  0.000  0.500  0.000
Ho  0.375  0.125  0.250
Ho  0.625  0.875  0.750
Np  0.000  0.500  0.500
Np  0.500  0.500  0.000
S  0.229  0.746  0.483
S  0.237  0.254  0.983
S  0.240  0.251  0.511
S  0.240  0.730  0.989
S  0.760  0.270  0.011
S  0.760  0.749  0.489
S  0.763  0.746  0.017
S  0.771  0.254  0.517

***

Record 8
For Ho3Np2S8, the GGA-PBE geometry in Alexandria gives the computed powder X-ray diffraction pattern in this record (Cu Kα, 1.54184 Å).

The 10 most intense peaks (10° ≤ 2θ ≤ 80°), most intense first:
2theta, d_spacing, intensity
38.32, 2.349, 100
23.48, 3.788, 50
22.95, 3.876, 48
26.93, 3.310, 39
39.13, 2.302, 26
37.77, 2.382, 23
26.75, 3.333, 20
44.98, 2.015, 20
70.37, 1.338, 17
45.85, 1.979, 16

Crystal structure
Cell: 8.193 8.193 4.604 Å, 90.00 90.00 108.91°
Atoms (fractional coordinates):
Ho  0.000  0.000  0.000
Ho  0.283  0.283  0.500
Ho  0.717  0.717  0.500
Np  0.262  0.738  0.000
Np  0.738  0.262  0.000
S  0.117  0.365  0.000
S  0.121  0.879  0.500
S  0.365  0.117  0.000
S  0.373  0.627  0.500
S  0.627  0.373  0.500
S  0.635  0.883  0.000
S  0.879  0.121  0.500
S  0.883  0.635  0.000

***

Record 9
For HoNp2Te2S2, the GGA-PBE geometry in Alexandria gives the computed powder X-ray diffraction pattern in this record (Cu Kα, 1.54184 Å).

The 10 most intense peaks (10° ≤ 2θ ≤ 80°), most intense first:
2theta, d_spacing, intensity
24.91, 3.575, 100
33.59, 2.668, 98
49.68, 1.835, 66
35.51, 2.528, 55
57.66, 1.599, 21
74.04, 1.280, 20
51.10, 1.788, 20
62.55, 1.485, 17
33.91, 2.643, 16
24.48, 3.637, 10

Crystal structure
Cell: 8.628 8.628 8.628 Å, 145.92 145.92 48.96°
Atoms (fractional coordinates):
Ho  0.000  0.000  0.000
Np  0.387  0.387  0.000
Np  0.613  0.613  0.000
Te  0.188  0.188  0.000
Te  0.812  0.812  0.000
S  0.000  0.500  0.500
S  0.500  0.000  0.500

***

Record 10
For HoNpSb, the GGA-PBE geometry in Alexandria gives the computed powder X-ray diffraction pattern in this record (Cu Kα, 1.54184 Å).

The 10 most intense peaks (10° ≤ 2θ ≤ 80°), most intense first:
2theta, d_spacing, intensity
31.59, 2.832, 100
36.33, 2.473, 73
42.75, 2.115, 45
30.51, 2.930, 42
53.42, 1.715, 36
10.06, 8.790, 25
71.31, 1.323, 20
74.08, 1.280, 19
51.61, 1.771, 19
70.72, 1.332, 16

Crystal structure
Cell: 4.231 4.231 8.790 Å, 90.00 90.00 90.00°
Atoms (fractional coordinates):
Ho  0.250  0.250  0.140
Ho  0.750  0.750  0.860
Np  0.250  0.750  0.500
Np  0.750  0.250  0.500
Sb  0.250  0.250  0.784
Sb  0.750  0.750  0.216

***

Record 11
For Ho3Np2Se6, the GGA-PBE geometry in Alexandria gives the computed powder X-ray diffraction pattern in this record (Cu Kα, 1.54184 Å).

The 10 most intense peaks (10° ≤ 2θ ≤ 80°), most intense first:
2theta, d_spacing, intensity
30.07, 2.972, 100
44.19, 2.049, 51
45.74, 1.984, 37
32.81, 2.730, 32
73.37, 1.290, 22
54.38, 1.687, 19
72.58, 1.303, 16
13.33, 6.644, 15
27.21, 3.278, 15
65.49, 1.425, 13

Crystal structure
Cell: 20.072 20.072 20.072 Å, 11.72 11.72 11.72°
Atoms (fractional coordinates):
Ho  0.000  0.000  0.000
Ho  0.278  0.278  0.278
Ho  0.722  0.722  0.722
Np  0.445  0.445  0.445
Np  0.555  0.555  0.555
Se  0.082  0.082  0.082
Se  0.197  0.197  0.197
Se  0.361  0.361  0.361
Se  0.639  0.639  0.639
Se  0.803  0.803  0.803
Se  0.918  0.918  0.918

***

Record 12
For YHoNp, the GGA-PBE geometry in Alexandria gives the computed powder X-ray diffraction pattern in this record (Cu Kα, 1.54184 Å).

The 10 most intense peaks (10° ≤ 2θ ≤ 80°), most intense first:
2theta, d_spacing, intensity
32.41, 2.763, 100
10.68, 8.287, 95
35.29, 2.543, 57
33.32, 2.689, 48
20.49, 4.335, 30
40.15, 2.246, 29
29.90, 2.988, 27
42.47, 2.129, 26
41.78, 2.162, 25
41.55, 2.174, 23

Crystal structure
Cell: 8.619 8.619 5.798 Å, 100.46 100.46 23.78°
Atoms (fractional coordinates):
Y  0.066  0.066  0.291
Y  0.934  0.934  0.709
Ho  0.376  0.376  0.180
Ho  0.624  0.624  0.820
Np  0.262  0.262  0.640
Np  0.738  0.738  0.360

***

Record 13
For Ho4O, the GGA-PBE geometry in Alexandria gives the computed powder X-ray diffraction pattern in this record (Cu Kα, 1.54184 Å).

The 6 most intense peaks (10° ≤ 2θ ≤ 80°), most intense first:
2theta, d_spacing, intensity
31.58, 2.833, 100
36.62, 2.454, 56
62.80, 1.480, 43
52.76, 1.735, 39
65.94, 1.417, 13
77.86, 1.227, 6

Crystal structure
Cell: 4.908 4.908 4.908 Å, 90.00 90.00 90.00°
Atoms (fractional coordinates):
Ho  0.000  0.000  0.000
Ho  0.000  0.500  0.500
Ho  0.500  0.000  0.500
Ho  0.500  0.500  0.000
O  0.500  0.500  0.500